Calculated PXRD pattern of Sc3Ni8Ag for Cu Kα (weighted mean of Kα1 and Kα2), from a DFT-relaxed cell (PBE, OQMD).
Intensities are scaled so that the largest is 100.

```
data_Sc3Ni8Ag
_chemical_formula_sum 'Sc9 Ni24 Ag3'
_space_group_name_H-M_alt 'R 3 m'
_space_group_IT_number 160
_space_group_name_Hall 'R 3 -2"'
_cell_length_a 4.8473
_cell_length_b 4.8473
_cell_length_c 23.7780
_cell_angle_alpha 90.00
_cell_angle_beta 90.00
_cell_angle_gamma 120.00
loop_
_atom_site_label
_atom_site_type_symbol
_atom_site_fract_x
_atom_site_fract_y
_atom_site_fract_z
Sc1 Sc 0.0000 0.0000 0.0000
Sc2 Sc 0.0000 0.0000 0.1294
Sc3 Sc 0.0000 0.0000 0.5124
Ni1 Ni 0.0000 0.0000 0.3183
Ni2 Ni 0.0000 0.0000 0.8179
Ni3 Ni 0.0007 0.5004 0.0692
Ni4 Ni 0.1682 0.3364 0.9003
Ag1 Ag 0.0000 0.0000 0.6329
```

Most intense lines, 2θ = 15–90°, sorted by position:
index, 2θ (°), I/Imax
1 0 1, 21.50, 4
0 1 2, 22.46, 10
1 0 4, 25.98, 2
1 1 0, 37.08, 26
1 1 6, 43.78, 100
0 0 12, 45.83, 43
2 0 8, 53.44, 6
3 0 0, 66.83, 8
3 0 6, 71.48, 27
2 2 0, 78.97, 23


Calculated PXRD pattern of LiZrGaIr for Cu Kα (weighted mean of Kα1 and Kα2), from a DFT-relaxed cell (PBE, OQMD).
Intensities are scaled so that the largest is 100.

```
data_LiZrGaIr
_chemical_formula_sum 'Li2 Zr2 Ga2 Ir2'
_space_group_name_H-M_alt 'P -4 m 2'
_space_group_IT_number 115
_space_group_name_Hall 'P -4 -2'
_cell_length_a 4.459
_cell_length_b 4.459
_cell_length_c 6.310
_cell_angle_alpha 90.00
_cell_angle_beta 90.00
_cell_angle_gamma 90.00
loop_
_atom_site_label
_atom_site_type_symbol
_atom_site_fract_x
_atom_site_fract_y
_atom_site_fract_z
Li1 Li 0.000 0.500 0.249
Zr1 Zr 0.000 0.000 0.000
Zr2 Zr 0.500 0.500 0.500
Ga1 Ga 0.000 0.000 0.500
Ga2 Ga 0.500 0.500 0.000
Ir1 Ir 0.000 0.500 0.751
```

Most intense lines, 2θ = 15–90°, sorted by position:
index, 2θ (°), I/Imax
1 0 1, 24.44, 65
1 1 0, 28.30, 1
2 0 0, 40.45, 100
2 1 1, 47.83, 33
2 2 0, 58.54, 17
3 0 1, 64.38, 14
3 1 2, 73.56, 34
3 2 1, 78.85, 10
4 0 0, 87.48, 11


Calculated PXRD pattern of Hg2Ge2AsP3 for Cu Kα (weighted mean of Kα1 and Kα2), from a DFT-relaxed cell (PBE, OQMD).
Intensities are scaled so that the largest is 100.

```
data_Hg2Ge2AsP3
_chemical_formula_sum 'Hg4 Ge4 As2 P6'
_space_group_name_H-M_alt 'C 1 2 1'
_space_group_IT_number 5
_space_group_name_Hall 'C 2y'
_cell_length_a 12.564
_cell_length_b 5.838
_cell_length_c 5.869
_cell_angle_alpha 90.00
_cell_angle_beta 117.34
_cell_angle_gamma 90.00
loop_
_atom_site_label
_atom_site_type_symbol
_atom_site_fract_x
_atom_site_fract_y
_atom_site_fract_z
Hg1 Hg 0.129 0.000 0.370
Ge1 Ge 0.127 0.484 0.883
As1 As 0.000 0.714 0.500
P1 P 0.000 0.268 0.000
P2 P 0.250 0.238 0.781
```

Most intense lines, 2θ = 15–90°, sorted by position:
index, 2θ (°), I/Imax
1 1 0, 17.14, 26
1 1 1, 26.74, 93
3 1 -1, 26.90, 100
2 2 -1, 35.27, 16
2 2 -2, 43.74, 39
2 0 2, 44.62, 19
4 2 0, 44.97, 55
1 1 -3, 51.82, 16
1 3 1, 52.11, 32
5 1 1, 53.92, 17


Calculated PXRD pattern of RbCu3ReS4 for Cu Kα (weighted mean of Kα1 and Kα2), from a DFT-relaxed cell (PBE, OQMD).
Intensities are scaled so that the largest is 100.

```
data_RbCu3ReS4
_chemical_formula_sum 'Rb1 Cu3 Re1 S4'
_space_group_name_H-M_alt 'P -4 3 m'
_space_group_IT_number 215
_space_group_name_Hall 'P -4 2 3'
_cell_length_a 5.952
_cell_length_b 5.952
_cell_length_c 5.952
_cell_angle_alpha 90.00
_cell_angle_beta 90.00
_cell_angle_gamma 90.00
loop_
_atom_site_label
_atom_site_type_symbol
_atom_site_fract_x
_atom_site_fract_y
_atom_site_fract_z
Rb1 Rb 0.000 0.000 0.000
Cu1 Cu 0.000 0.500 0.500
Re1 Re 0.500 0.500 0.500
S1 S 0.282 0.282 0.282
```

Most intense lines, 2θ = 15–90°, sorted by position:
index, 2θ (°), I/Imax
1 1 0, 21.11, 79
1 1 1, 25.93, 23
2 0 0, 30.03, 49
2 1 0, 33.67, 23
2 1 1, 36.99, 36
2 2 0, 42.98, 100
2 2 1, 45.73, 19
3 2 1, 57.97, 24
4 2 0, 70.79, 20
4 2 2, 78.77, 28


Calculated PXRD pattern of La2Ho2CCl5 for Cu Kα (weighted mean of Kα1 and Kα2), from a DFT-relaxed cell (PBE, OQMD).
Intensities are scaled so that the largest is 100.

```
data_La2Ho2CCl5
_chemical_formula_sum 'La4 Ho4 C2 Cl10'
_space_group_name_H-M_alt 'C 1 2/m 1'
_space_group_IT_number 12
_space_group_name_Hall '-C 2y'
_cell_length_a 17.333
_cell_length_b 3.856
_cell_length_c 8.396
_cell_angle_alpha 90.00
_cell_angle_beta 102.83
_cell_angle_gamma 90.00
loop_
_atom_site_label
_atom_site_type_symbol
_atom_site_fract_x
_atom_site_fract_y
_atom_site_fract_z
La1 La 0.001 0.000 0.285
Ho1 Ho 0.142 0.500 0.570
C1 C 0.000 0.500 0.500
Cl1 Cl 0.000 0.500 0.000
Cl2 Cl 0.172 0.000 0.801
Cl3 Cl 0.177 0.000 0.362
```

Most intense lines, 2θ = 15–90°, sorted by position:
index, 2θ (°), I/Imax
4 0 -1, 21.42, 18
2 0 2, 26.22, 13
3 1 0, 28.04, 25
1 1 -2, 31.49, 100
6 0 0, 31.77, 28
5 1 0, 35.31, 17
1 1 -3, 39.85, 18
5 1 2, 45.01, 18
7 1 -2, 45.68, 19
0 2 0, 47.13, 14


Calculated PXRD pattern of GaCo4SiIr2 for Cu Kα (weighted mean of Kα1 and Kα2), from a DFT-relaxed cell (PBE, OQMD).
Intensities are scaled so that the largest is 100.

```
data_GaCo4SiIr2
_chemical_formula_sum 'Ga1 Co4 Si1 Ir2'
_space_group_name_H-M_alt 'P -4 m 2'
_space_group_IT_number 115
_space_group_name_Hall 'P -4 -2'
_cell_length_a 3.984
_cell_length_b 3.984
_cell_length_c 6.231
_cell_angle_alpha 90.00
_cell_angle_beta 90.00
_cell_angle_gamma 90.00
loop_
_atom_site_label
_atom_site_type_symbol
_atom_site_fract_x
_atom_site_fract_y
_atom_site_fract_z
Ga1 Ga 0.000 0.000 0.000
Co1 Co 0.000 0.000 0.500
Co2 Co 0.000 0.500 0.738
Co3 Co 0.500 0.500 0.000
Si1 Si 0.500 0.500 0.500
Ir1 Ir 0.000 0.500 0.265
```

Most intense lines, 2θ = 15–90°, sorted by position:
index, 2θ (°), I/Imax
1 0 1, 26.56, 45
0 0 2, 28.65, 10
1 1 0, 31.77, 17
1 1 2, 43.30, 100
2 0 0, 45.54, 44
2 1 1, 53.49, 14
0 0 4, 59.33, 9
2 2 0, 66.37, 14
2 0 4, 77.84, 16
3 1 2, 82.61, 29